NaNbWO6: simulated powder XRD pattern (Cu Kα, 1.54184 Å), based on a cell relaxed with GGA+U.
Neutral-atom scattering factors, no anomalous dispersion.

Peak list (12 most intense, 2θ from 10° to 90°, in order of rising 2θ)
2θ/deg, d_spacing, I/Imax
14.61, 6.061, 100.0
16.88, 5.252, 9.1
23.95, 3.715, 7.8
28.17, 3.168, 44.9
29.46, 3.032, 67.8
34.15, 2.626, 20.7
37.30, 2.411, 8.2
44.83, 2.022, 9.3
49.05, 1.857, 24.8
51.43, 1.777, 12.1
58.24, 1.584, 19.7
58.34, 1.582, 9.6

Structural model:
```
NaNbWO6
1.0
-3.706 3.720 5.252
3.706 -3.720 5.252
3.706 3.720 -5.252
Na Nb W O
2 2 2 12
direct
0.000 0.000 0.000 Na
0.500 0.000 0.500 Na
0.500 0.000 0.000 Nb
0.500 0.500 0.500 Nb
0.000 0.500 0.500 W
0.500 0.500 0.000 W
0.183 0.434 0.376 O
0.183 0.807 0.749 O
0.193 0.443 0.750 O
0.429 0.179 0.250 O
0.441 0.193 0.876 O
0.441 0.566 0.249 O
0.559 0.434 0.751 O
0.559 0.807 0.124 O
0.571 0.821 0.750 O
0.807 0.557 0.250 O
0.817 0.193 0.251 O
0.817 0.566 0.624 O
```


NaNdNi4O12: simulated powder XRD pattern (Cu Kα, 1.54184 Å), based on a cell relaxed with GGA+U.
Neutral-atom scattering factors, no anomalous dispersion.

Peak list (12 most intense, 2θ from 10° to 90°, in order of rising 2θ)
2θ/deg, d_spacing, I/Imax
11.53, 7.677, 35.7
16.52, 5.366, 36.7
20.19, 4.398, 77.3
23.45, 3.794, 25.8
26.20, 3.401, 23.1
33.20, 2.698, 100.0
33.40, 2.683, 50.2
39.34, 2.290, 27.0
47.36, 1.919, 24.9
47.95, 1.897, 48.8
59.57, 1.552, 38.0
69.69, 1.349, 26.5

Structural model:
```
NaNdNi4O12
1.0
5.366 0.000 0.000
0.000 5.366 0.000
0.000 0.000 7.677
Na Nd Ni O
1 1 4 12
direct
0.000 0.000 0.000 Na
0.500 0.500 0.500 Nd
0.000 0.500 0.245 Ni
0.000 0.500 0.755 Ni
0.500 0.000 0.245 Ni
0.500 0.000 0.755 Ni
0.000 0.500 0.000 O
0.000 0.500 0.500 O
0.263 0.263 0.264 O
0.263 0.263 0.736 O
0.263 0.737 0.264 O
0.263 0.737 0.736 O
0.500 0.000 0.000 O
0.500 0.000 0.500 O
0.737 0.263 0.264 O
0.737 0.263 0.736 O
0.737 0.737 0.264 O
0.737 0.737 0.736 O
```


NaSrNdWO6: simulated powder XRD pattern (Cu Kα, 1.54184 Å), based on a cell relaxed with GGA+U.
Neutral-atom scattering factors, no anomalous dispersion.

Peak list (12 most intense, 2θ from 10° to 90°, in order of rising 2θ)
2θ/deg, d_spacing, I/Imax
18.87, 4.703, 41.4
31.05, 2.880, 100.0
36.59, 2.456, 21.1
44.49, 2.036, 31.7
48.73, 1.869, 8.6
55.25, 1.663, 40.2
58.92, 1.568, 8.2
64.74, 1.440, 19.4
68.10, 1.377, 7.9
73.54, 1.288, 17.7
81.95, 1.176, 6.4
85.05, 1.141, 4.5

Structural model:
```
NaSrNdWO6
1.0
0.000 4.073 4.073
4.073 0.000 4.073
4.073 4.073 0.000
Na Sr Nd W O
1 1 1 1 6
direct
0.000 0.000 0.000 Na
0.750 0.750 0.750 Sr
0.250 0.250 0.250 Nd
0.500 0.500 0.500 W
0.263 0.263 0.737 O
0.263 0.737 0.263 O
0.263 0.737 0.737 O
0.737 0.263 0.263 O
0.737 0.263 0.737 O
0.737 0.737 0.263 O
```


NaSrNdWO6: simulated powder XRD pattern (Cu Kα, 1.54184 Å), based on a cell relaxed with GGA+U.
Neutral-atom scattering factors, no anomalous dispersion.

Peak list (12 most intense, 2θ from 10° to 90°, in order of rising 2θ)
2θ/deg, d_spacing, I/Imax
21.10, 4.210, 28.5
21.17, 4.196, 13.6
30.05, 2.974, 100.0
42.88, 2.109, 10.0
43.08, 2.100, 18.5
48.45, 1.879, 11.9
53.28, 1.719, 14.6
53.41, 1.716, 29.9
62.41, 1.488, 11.3
86.46, 1.126, 7.7
86.64, 1.124, 7.9
86.74, 1.123, 7.5

Structural model:
```
NaSrNdWO6
1.0
8.392 0.000 0.000
0.000 8.404 0.000
0.000 0.000 8.436
Na Sr Nd W O
4 4 4 4 24
direct
0.250 0.250 0.250 Na
0.250 0.750 0.250 Na
0.750 0.250 0.750 Na
0.750 0.750 0.750 Na
0.250 0.250 0.750 Sr
0.250 0.750 0.750 Sr
0.750 0.250 0.250 Sr
0.750 0.750 0.250 Sr
0.000 0.000 0.000 Nd
0.000 0.500 0.500 Nd
0.500 0.000 0.500 Nd
0.500 0.500 0.000 Nd
0.000 0.000 0.500 W
0.000 0.500 0.000 W
0.500 0.000 0.000 W
0.500 0.500 0.500 W
0.041 0.029 0.728 O
0.041 0.471 0.772 O
0.049 0.726 0.978 O
0.049 0.774 0.522 O
0.225 0.046 0.466 O
0.225 0.454 0.034 O
0.275 0.046 0.034 O
0.275 0.454 0.466 O
0.451 0.726 0.522 O
0.451 0.774 0.978 O
0.459 0.029 0.772 O
0.459 0.471 0.728 O
0.541 0.529 0.272 O
0.541 0.971 0.228 O
0.549 0.226 0.022 O
0.549 0.274 0.478 O
0.725 0.546 0.534 O
0.725 0.954 0.966 O
0.775 0.546 0.966 O
0.775 0.954 0.534 O
0.951 0.226 0.478 O
0.951 0.274 0.022 O
0.959 0.529 0.228 O
0.959 0.971 0.272 O
```


NaSrNdWO6: simulated powder XRD pattern (Cu Kα, 1.54184 Å), based on a cell relaxed with GGA+U.
Neutral-atom scattering factors, no anomalous dispersion.

Peak list (12 most intense, 2θ from 10° to 90°, in order of rising 2θ)
2θ/deg, d_spacing, I/Imax
18.03, 4.919, 8.9
20.85, 4.260, 44.9
29.66, 3.012, 100.0
42.44, 2.130, 31.9
47.74, 1.905, 19.1
52.62, 1.739, 40.6
61.57, 1.506, 19.7
65.76, 1.420, 8.9
69.81, 1.347, 18.6
77.64, 1.230, 6.4
81.46, 1.182, 4.2
85.23, 1.139, 21.8

Structural model:
```
NaSrNdWO6
1.0
0.000 4.260 4.260
4.260 0.000 4.260
4.260 4.260 0.000
Na Sr Nd W O
1 1 1 1 6
direct
0.000 0.000 0.000 Na
0.500 0.500 0.500 Sr
0.750 0.750 0.750 Nd
0.250 0.250 0.250 W
0.021 0.021 0.479 O
0.021 0.479 0.021 O
0.021 0.479 0.479 O
0.479 0.021 0.021 O
0.479 0.021 0.479 O
0.479 0.479 0.021 O
```


Na5NdW4O16: simulated powder XRD pattern (Cu Kα, 1.54184 Å), based on a cell relaxed with GGA+U.
Neutral-atom scattering factors, no anomalous dispersion.

Peak list (12 most intense, 2θ from 10° to 90°, in order of rising 2θ)
2θ/deg, d_spacing, I/Imax
10.72, 8.250, 31.5
18.50, 4.795, 62.4
23.92, 3.720, 17.5
28.50, 3.132, 100.0
28.71, 3.109, 19.3
30.97, 2.888, 12.5
34.02, 2.636, 21.2
39.00, 2.310, 10.9
46.66, 1.947, 26.4
48.87, 1.864, 11.5
53.58, 1.711, 12.0
57.55, 1.602, 24.0

Structural model:
```
Na5NdW4O16
1.0
-5.893 5.893 5.776
5.893 -5.893 5.776
5.893 5.893 -5.776
Na Nd W O
10 2 8 32
direct
0.113 0.279 0.076 Na
0.221 0.797 0.834 Na
0.297 0.963 0.576 Na
0.375 0.125 0.250 Na
0.463 0.387 0.666 Na
0.537 0.613 0.334 Na
0.625 0.875 0.750 Na
0.703 0.037 0.424 Na
0.779 0.203 0.166 Na
0.887 0.721 0.924 Na
0.125 0.375 0.750 Nd
0.875 0.625 0.250 Nd
0.045 0.073 0.337 W
0.208 0.545 0.472 W
0.236 0.708 0.163 W
0.427 0.264 0.972 W
0.573 0.736 0.028 W
0.764 0.292 0.837 W
0.792 0.455 0.528 W
0.955 0.927 0.663 W
0.007 0.522 0.652 O
0.018 0.168 0.216 O
0.022 0.870 0.515 O
0.072 0.146 0.804 O
0.144 0.493 0.015 O
0.158 0.732 0.304 O
0.201 0.830 0.074 O
0.232 0.428 0.574 O
0.256 0.127 0.426 O
0.302 0.518 0.350 O
0.330 0.756 0.629 O
0.332 0.048 0.850 O
0.354 0.658 0.926 O
0.370 0.356 0.848 O
0.373 0.299 0.129 O
0.452 0.802 0.284 O
0.548 0.198 0.716 O
0.627 0.701 0.871 O
0.630 0.644 0.152 O
0.646 0.342 0.074 O
0.668 0.952 0.150 O
0.670 0.244 0.371 O
0.698 0.482 0.650 O
0.744 0.873 0.574 O
0.768 0.572 0.426 O
0.799 0.170 0.926 O
0.842 0.268 0.696 O
0.856 0.507 0.985 O
0.928 0.854 0.196 O
0.978 0.130 0.485 O
0.982 0.832 0.784 O
0.993 0.478 0.348 O
```


Na2NiO3: simulated powder XRD pattern (Cu Kα, 1.54184 Å), based on a cell relaxed with GGA+U.
Neutral-atom scattering factors, no anomalous dispersion.

Peak list (12 most intense, 2θ from 10° to 90°, in order of rising 2θ)
2θ/deg, d_spacing, I/Imax
16.65, 5.324, 74.7
20.39, 4.356, 18.5
22.44, 3.961, 15.7
33.67, 2.662, 20.9
34.69, 2.586, 13.3
36.01, 2.494, 30.1
36.19, 2.482, 14.8
41.00, 2.201, 51.0
41.31, 2.186, 100.0
57.92, 1.592, 27.7
58.40, 1.580, 13.9
61.27, 1.513, 38.3

Structural model:
```
Na2NiO3
1.0
2.620 -4.539 0.000
2.620 4.539 0.000
-1.802 0.000 5.324
Na Ni O
4 2 6
direct
0.000 0.000 0.000 Na
0.157 0.843 0.500 Na
0.500 0.500 0.500 Na
0.843 0.157 0.500 Na
0.333 0.667 0.000 Ni
0.667 0.333 0.000 Ni
0.067 0.445 0.198 O
0.308 0.308 0.801 O
0.445 0.067 0.198 O
0.555 0.933 0.802 O
0.692 0.692 0.199 O
0.933 0.555 0.802 O
```


NaNi5O6: simulated powder XRD pattern (Cu Kα, 1.54184 Å), based on a cell relaxed with GGA+U.
Neutral-atom scattering factors, no anomalous dispersion.

Peak list (12 most intense, 2θ from 10° to 90°, in order of rising 2θ)
2θ/deg, d_spacing, I/Imax
20.57, 4.317, 6.7
36.59, 2.456, 100.0
42.32, 2.136, 49.5
42.59, 2.123, 97.0
61.54, 1.507, 27.9
61.70, 1.503, 41.8
61.85, 1.500, 13.7
73.67, 1.286, 10.1
73.97, 1.281, 13.3
74.06, 1.280, 13.2
77.61, 1.230, 6.7
77.82, 1.227, 19.0

Structural model:
```
NaNi5O6
1.0
2.614 -4.500 0.000
2.614 4.500 0.000
-1.702 0.000 9.816
Na Ni O
2 10 12
direct
0.244 0.244 0.250 Na
0.756 0.756 0.750 Na
0.084 0.422 0.751 Ni
0.164 0.836 0.000 Ni
0.334 0.666 0.500 Ni
0.421 0.084 0.751 Ni
0.499 0.501 0.000 Ni
0.578 0.916 0.249 Ni
0.664 0.336 0.500 Ni
0.834 0.166 0.000 Ni
0.916 0.579 0.249 Ni
0.996 0.004 0.500 Ni
0.075 0.714 0.616 O
0.155 0.155 0.882 O
0.205 0.559 0.121 O
0.286 0.925 0.384 O
0.354 0.371 0.612 O
0.441 0.795 0.879 O
0.560 0.207 0.122 O
0.629 0.646 0.388 O
0.713 0.073 0.622 O
0.793 0.440 0.878 O
0.845 0.845 0.118 O
0.927 0.287 0.378 O
```


Na9Ni7O16: simulated powder XRD pattern (Cu Kα, 1.54184 Å), based on a cell relaxed with GGA+U.
Neutral-atom scattering factors, no anomalous dispersion.

Peak list (12 most intense, 2θ from 10° to 90°, in order of rising 2θ)
2θ/deg, d_spacing, I/Imax
16.90, 5.246, 100.0
34.19, 2.623, 25.4
36.41, 2.468, 36.4
36.93, 2.434, 17.1
41.43, 2.180, 54.2
41.63, 2.169, 53.2
42.35, 2.134, 49.6
58.87, 1.569, 14.1
59.07, 1.564, 28.1
61.29, 1.512, 14.5
62.57, 1.485, 13.3
62.68, 1.482, 13.2

Structural model:
```
Na9Ni7O16
1.0
6.900 0.000 0.000
2.444 6.534 0.000
1.777 2.823 7.188
Na Ni O
9 7 16
direct
0.000 0.000 0.000 Na
0.054 0.429 0.691 Na
0.186 0.297 0.067 Na
0.314 0.185 0.432 Na
0.423 0.061 0.812 Na
0.577 0.939 0.188 Na
0.686 0.815 0.568 Na
0.814 0.703 0.933 Na
0.946 0.571 0.309 Na
0.127 0.867 0.382 Ni
0.252 0.744 0.749 Ni
0.379 0.618 0.130 Ni
0.500 0.500 0.500 Ni
0.621 0.382 0.870 Ni
0.748 0.256 0.251 Ni
0.873 0.133 0.618 Ni
0.007 0.796 0.641 O
0.142 0.053 0.709 O
0.144 0.655 0.008 O
0.252 0.537 0.410 O
0.281 0.913 0.137 O
0.365 0.440 0.771 O
0.376 0.808 0.494 O
0.497 0.309 0.152 O
0.503 0.691 0.848 O
0.624 0.192 0.506 O
0.635 0.560 0.229 O
0.719 0.087 0.863 O
0.748 0.463 0.590 O
0.856 0.345 0.992 O
0.858 0.947 0.291 O
0.993 0.204 0.359 O
```


Na2NiO2: simulated powder XRD pattern (Cu Kα, 1.54184 Å), based on a cell relaxed with GGA+U.
Neutral-atom scattering factors, no anomalous dispersion.

Peak list (12 most intense, 2θ from 10° to 90°, in order of rising 2θ)
2θ/deg, d_spacing, I/Imax
20.41, 4.351, 92.5
21.41, 4.151, 59.1
34.25, 2.618, 25.9
35.14, 2.554, 30.0
36.95, 2.433, 100.0
39.21, 2.298, 25.3
41.17, 2.193, 24.5
42.65, 2.120, 58.2
46.48, 1.954, 24.9
46.86, 1.939, 31.2
55.40, 1.658, 25.7
77.28, 1.235, 19.0

Structural model:
```
Na2NiO2
1.0
1.433 -5.108 0.000
1.433 5.108 0.000
0.000 0.000 8.301
Na Ni O
4 2 4
direct
0.105 0.895 0.500 Na
0.351 0.649 0.678 Na
0.649 0.351 0.178 Na
0.895 0.105 0.000 Na
0.378 0.622 0.346 Ni
0.622 0.378 0.846 Ni
0.020 0.980 0.758 O
0.222 0.778 0.941 O
0.778 0.222 0.441 O
0.980 0.020 0.258 O
```


Repeat the first record exactly.
NaNbWO6: simulated powder XRD pattern (Cu Kα, 1.54184 Å), based on a cell relaxed with GGA+U.
Neutral-atom scattering factors, no anomalous dispersion.

Peak list (12 most intense, 2θ from 10° to 90°, in order of rising 2θ)
2θ/deg, d_spacing, I/Imax
14.61, 6.061, 100.0
16.88, 5.252, 9.1
23.95, 3.715, 7.8
28.17, 3.168, 44.9
29.46, 3.032, 67.8
34.15, 2.626, 20.7
37.30, 2.411, 8.2
44.83, 2.022, 9.3
49.05, 1.857, 24.8
51.43, 1.777, 12.1
58.24, 1.584, 19.7
58.34, 1.582, 9.6

Structural model:
```
NaNbWO6
1.0
-3.706 3.720 5.252
3.706 -3.720 5.252
3.706 3.720 -5.252
Na Nb W O
2 2 2 12
direct
0.000 0.000 0.000 Na
0.500 0.000 0.500 Na
0.500 0.000 0.000 Nb
0.500 0.500 0.500 Nb
0.000 0.500 0.500 W
0.500 0.500 0.000 W
0.183 0.434 0.376 O
0.183 0.807 0.749 O
0.193 0.443 0.750 O
0.429 0.179 0.250 O
0.441 0.193 0.876 O
0.441 0.566 0.249 O
0.559 0.434 0.751 O
0.559 0.807 0.124 O
0.571 0.821 0.750 O
0.807 0.557 0.250 O
0.817 0.193 0.251 O
0.817 0.566 0.624 O
```


What did the fifth record say?
NaSrNdWO6: simulated powder XRD pattern (Cu Kα, 1.54184 Å), based on a cell relaxed with GGA+U.
Neutral-atom scattering factors, no anomalous dispersion.

Peak list (12 most intense, 2θ from 10° to 90°, in order of rising 2θ)
2θ/deg, d_spacing, I/Imax
18.03, 4.919, 8.9
20.85, 4.260, 44.9
29.66, 3.012, 100.0
42.44, 2.130, 31.9
47.74, 1.905, 19.1
52.62, 1.739, 40.6
61.57, 1.506, 19.7
65.76, 1.420, 8.9
69.81, 1.347, 18.6
77.64, 1.230, 6.4
81.46, 1.182, 4.2
85.23, 1.139, 21.8

Structural model:
```
NaSrNdWO6
1.0
0.000 4.260 4.260
4.260 0.000 4.260
4.260 4.260 0.000
Na Sr Nd W O
1 1 1 1 6
direct
0.000 0.000 0.000 Na
0.500 0.500 0.500 Sr
0.750 0.750 0.750 Nd
0.250 0.250 0.250 W
0.021 0.021 0.479 O
0.021 0.479 0.021 O
0.021 0.479 0.479 O
0.479 0.021 0.021 O
0.479 0.021 0.479 O
0.479 0.479 0.021 O
```